The following is a theoretical PXRD pattern of Hf5Zr4Cd2. It was derived from a DFT-relaxed cell (GGA-PBE, Alexandria), using Cu Kα (weighted mean of Kα1 and Kα2).
Peak positions follow from Bragg's law for the DFT cell and can differ from measured ones.

Structure:
a = 3.147 Å, b = 7.567 Å, c = 10.680 Å
α = 91.34°, β = 98.38°, γ = 90.30°
Atoms (fractional coordinates):
Hf 0.000 0.000 0.000
Hf 0.309 0.577 0.619
Hf 0.453 0.652 0.910
Hf 0.547 0.348 0.090
Hf 0.691 0.423 0.381
Zr 0.104 0.683 0.197
Zr 0.128 0.103 0.268
Zr 0.872 0.897 0.732
Zr 0.896 0.317 0.803
Cd 0.282 0.166 0.561
Cd 0.718 0.834 0.439

Principal peaks in the range 5 to 70 degrees two-theta, sorted by position:
Position (°2θ), d/Å, intensity, (hkl)
31.0, 2.883, 31, -1 1 1
31.1, 2.873, 38, 1 1 0
35.2, 2.546, 100, 0 2 3
35.6, 2.524, 48, 1 0 2
35.7, 2.512, 81, 0 1 -4
36.4, 2.466, 70, 0 3 -1
37.2, 2.414, 38, 1 -2 0
37.4, 2.402, 50, 1 2 -1
37.7, 2.384, 32, -1 1 3
41.5, 2.178, 40, 1 0 3